1.
Structure and simulated powder diffractogram of Pm12Sc5Cd2 (a cell relaxed with GGA-PBE; Cu Kα, 1.54184 Å).
No peak broadening, texture or thermal motion is included.

Structure:
```
Pm12Sc5Cd2
1.0
6.564 -5.413 0.000
6.564 5.413 0.000
-1.940 0.000 8.266
Pm Sc Cd
12 5 2
Direct
0.083 0.083 0.196
0.117 0.526 0.688
0.131 0.653 0.114
0.347 0.869 0.886
0.363 0.363 0.373
0.474 0.883 0.312
0.526 0.117 0.688
0.637 0.637 0.627
0.653 0.131 0.114
0.869 0.347 0.886
0.883 0.474 0.312
0.917 0.917 0.804
0.125 0.125 0.591
0.261 0.261 0.964
0.500 0.500 0.000
0.739 0.739 0.036
0.875 0.875 0.409
0.234 0.766 0.500
0.766 0.234 0.500
```

Top 10 peaks for 2θ from 10° to 90°, most intense first:
32.8 deg, intensity 100
32.2 deg, intensity 91
32.3 deg, intensity 48
33.1 deg, intensity 42
28.2 deg, intensity 31
32.7 deg, intensity 28
46.9 deg, intensity 25
27.2 deg, intensity 21
58.5 deg, intensity 18
58.4 deg, intensity 18

***

2.
Structure and simulated powder diffractogram of PmSc2Cd5 (a cell relaxed with GGA-PBE; Cu Kα, 1.54184 Å).
No peak broadening, texture or thermal motion is included.

Structure:
```
PmSc2Cd5
1.0
-2.536 2.536 7.229
2.536 -2.536 7.229
2.536 2.536 -7.229
Pm Sc Cd
1 2 5
Direct
0.000 0.000 0.000
0.261 0.261 0.000
0.739 0.739 0.000
0.132 0.632 0.500
0.368 0.868 0.500
0.500 0.500 0.000
0.632 0.132 0.500
0.868 0.368 0.500
```

Top 10 peaks for 2θ from 10° to 90°, most intense first:
35.3 deg, intensity 100
35.4 deg, intensity 51
63.4 deg, intensity 34
50.9 deg, intensity 17
63.2 deg, intensity 16
85.6 deg, intensity 15
27.8 deg, intensity 13
74.5 deg, intensity 10
50.5 deg, intensity 8
12.2 deg, intensity 8

***

3.
Structure and simulated powder diffractogram of Pm6Sc2Cd (a cell relaxed with GGA-PBE; Cu Kα, 1.54184 Å).
No peak broadening, texture or thermal motion is included.

Structure:
```
Pm6Sc2Cd
1.0
10.271 0.000 0.000
0.000 10.271 0.000
0.000 0.000 5.274
Pm Sc Cd
12 4 2
Direct
0.030 0.323 0.000
0.132 0.868 0.500
0.177 0.530 0.500
0.323 0.030 0.000
0.368 0.368 0.000
0.470 0.823 0.500
0.530 0.177 0.500
0.632 0.632 0.000
0.677 0.970 0.000
0.823 0.470 0.500
0.868 0.132 0.500
0.970 0.677 0.000
0.202 0.202 0.500
0.298 0.702 0.000
0.702 0.298 0.000
0.798 0.798 0.500
0.000 0.000 0.000
0.500 0.500 0.500
```

Top 10 peaks for 2θ from 10° to 90°, most intense first:
31.1 deg, intensity 100
34.0 deg, intensity 26
37.1 deg, intensity 24
32.4 deg, intensity 20
51.2 deg, intensity 19
59.1 deg, intensity 16
31.4 deg, intensity 14
59.6 deg, intensity 12
20.8 deg, intensity 9
47.0 deg, intensity 9

***

4.
Structure and simulated powder diffractogram of Pm2ScCd5 (a cell relaxed with GGA-PBE; Cu Kα, 1.54184 Å).
No peak broadening, texture or thermal motion is included.

Structure:
```
Pm2ScCd5
1.0
-2.534 2.534 7.658
2.534 -2.534 7.658
2.534 2.534 -7.658
Pm Sc Cd
2 1 5
Direct
0.240 0.240 0.000
0.760 0.760 0.000
0.500 0.500 0.000
0.000 0.000 0.000
0.111 0.611 0.500
0.389 0.889 0.500
0.611 0.111 0.500
0.889 0.389 0.500
```

Top 10 peaks for 2θ from 10° to 90°, most intense first:
34.3 deg, intensity 100
35.4 deg, intensity 48
62.9 deg, intensity 32
51.0 deg, intensity 17
60.6 deg, intensity 14
27.5 deg, intensity 10
72.2 deg, intensity 8
85.1 deg, intensity 8
47.5 deg, intensity 7
85.7 deg, intensity 7

***

5.
Structure and simulated powder diffractogram of Pm3CdSe6 (a cell relaxed with GGA-PBE; Cu Kα, 1.54184 Å).
No peak broadening, texture or thermal motion is included.

Structure:
```
Pm3CdSe6
1.0
5.734 -6.880 0.000
5.734 6.880 0.000
0.000 0.000 7.184
Pm Cd Se
6 2 12
Direct
0.099 0.901 0.500
0.222 0.417 0.600
0.417 0.222 0.100
0.583 0.778 0.600
0.778 0.583 0.100
0.901 0.099 0.000
0.295 0.705 0.123
0.705 0.295 0.623
0.050 0.592 0.329
0.126 0.199 0.299
0.199 0.126 0.799
0.273 0.727 0.760
0.408 0.950 0.329
0.469 0.531 0.303
0.531 0.469 0.803
0.592 0.050 0.829
0.727 0.273 0.260
0.801 0.874 0.299
0.874 0.801 0.799
0.950 0.408 0.829
```

Top 10 peaks for 2θ from 10° to 90°, most intense first:
23.7 deg, intensity 100
34.9 deg, intensity 85
33.0 deg, intensity 73
40.4 deg, intensity 65
24.3 deg, intensity 64
36.2 deg, intensity 62
47.6 deg, intensity 37
45.2 deg, intensity 29
46.2 deg, intensity 25
32.2 deg, intensity 22

***

6.
Structure and simulated powder diffractogram of Pm4CdSi2 (a cell relaxed with GGA-PBE; Cu Kα, 1.54184 Å).
No peak broadening, texture or thermal motion is included.

Structure:
```
Pm4CdSi2
1.0
2.513 1.451 9.113
-2.513 1.451 9.113
0.000 -2.902 9.113
Pm Cd Si
4 1 2
Direct
0.118 0.118 0.118
0.293 0.293 0.293
0.707 0.707 0.707
0.882 0.882 0.882
0.500 0.500 0.500
0.403 0.403 0.403
0.597 0.597 0.597
```

Top 10 peaks for 2θ from 10° to 90°, most intense first:
26.2 deg, intensity 100
35.7 deg, intensity 73
38.9 deg, intensity 32
44.8 deg, intensity 24
58.6 deg, intensity 21
30.8 deg, intensity 19
66.3 deg, intensity 13
64.2 deg, intensity 13
53.8 deg, intensity 12
54.4 deg, intensity 12

***

7.
Structure and simulated powder diffractogram of Pm3Sm5Cd (a cell relaxed with GGA-PBE; Cu Kα, 1.54184 Å).
No peak broadening, texture or thermal motion is included.

Structure:
```
Pm3Sm5Cd
1.0
4.965 -5.836 0.000
4.965 5.836 0.000
-0.056 0.000 11.381
Pm Sm Cd
6 10 2
Direct
0.000 0.000 0.000
0.000 0.000 0.500
0.154 0.154 0.258
0.333 0.333 0.007
0.667 0.667 0.993
0.846 0.846 0.742
0.013 0.527 0.185
0.253 0.747 0.500
0.323 0.323 0.498
0.473 0.987 0.815
0.496 0.496 0.742
0.504 0.504 0.258
0.527 0.013 0.185
0.677 0.677 0.502
0.747 0.253 0.500
0.987 0.473 0.815
0.161 0.161 0.742
0.839 0.839 0.258
```

Top 10 peaks for 2θ from 10° to 90°, most intense first:
30.6 deg, intensity 100
32.1 deg, intensity 76
32.3 deg, intensity 72
39.1 deg, intensity 56
15.2 deg, intensity 53
31.4 deg, intensity 52
39.0 deg, intensity 49
35.1 deg, intensity 42
44.5 deg, intensity 40
24.8 deg, intensity 36

***

8.
Structure and simulated powder diffractogram of PmSm4Cd (a cell relaxed with GGA-PBE; Cu Kα, 1.54184 Å).
No peak broadening, texture or thermal motion is included.

Structure:
```
PmSm4Cd
1.0
3.651 0.000 0.000
0.000 3.651 0.000
0.000 0.000 14.351
Pm Sm Cd
1 4 1
Direct
0.000 0.000 0.000
0.000 0.000 0.355
0.000 0.000 0.645
0.500 0.500 0.179
0.500 0.500 0.821
0.500 0.500 0.500
```

Top 10 peaks for 2θ from 10° to 90°, most intense first:
30.8 deg, intensity 100
34.7 deg, intensity 39
59.8 deg, intensity 30
52.1 deg, intensity 18
50.0 deg, intensity 14
37.6 deg, intensity 12
64.2 deg, intensity 10
63.7 deg, intensity 6
83.8 deg, intensity 6
81.6 deg, intensity 6